For Al2GaPbO6, DFT lattice parameters and positions (GGA-PBE) gives the simulated X-ray diffraction stick pattern in this record (Cu Kα (weighted mean of Kα1 and Kα2)).
Kinematic intensities with the Lorentz-polarization factor, no thermal factor.

Structure:
```
data_Al2GaPbO6
_cell_length_a 8.909
_cell_length_b 10.650
_cell_length_c 6.070
_cell_angle_alpha 90.00
_cell_angle_beta 115.64
_cell_angle_gamma 90.00
_space_group_name_H-M_alt 'C 1 2/c 1'
_space_group_IT_number 15
loop_
_space_group_symop_operation_xyz
'x,y,z'
'-x,-y,-z'
'-x,y,-z+1/2'
'x,-y,z+1/2'
'x+1/2,y+1/2,z'
'-x+1/2,-y+1/2,-z'
'-x+1/2,y+1/2,-z+1/2'
'x+1/2,-y+1/2,z+1/2'
loop_
_atom_site_label
_atom_site_type_symbol
_atom_site_fract_x
_atom_site_fract_y
_atom_site_fract_z
Al1 Al 0.129 0.073 0.171
Ga1 Ga 0.000 0.301 0.750
Pb1 Pb 0.000 0.390 0.250
O1 O 0.104 0.235 0.061
O2 O 0.117 0.049 0.459
O3 O 0.134 0.423 0.683
```

The 10 most intense peaks (10 to 80 degrees two-theta), by angle:
2θ (°)  Rel. int.
13.8  100.0
22.1  77.0
26.9  37.8
27.5  33.5
29.4  62.5
30.8  34.4
32.7  27.6
34.5  53.8
39.6  26.6
47.6  26.2